Simulated PXRD pattern of VPd2Au2 for Cu Kα, 1.54184 Å, from a crystal structure in Alexandria, relaxed with PBE.
Peak positions follow from Bragg's law for the DFT cell and can differ from measured ones.

Structural model:
```
VPd2Au2
1.0
6.796 -2.360 0.000
6.796 2.360 0.000
-1.832 0.000 5.110
V Pd Au
2 4 4
direct
0.077 0.923 0.750 V
0.923 0.077 0.250 V
0.322 0.502 0.319 Pd
0.498 0.678 0.181 Pd
0.502 0.322 0.819 Pd
0.678 0.498 0.681 Pd
0.104 0.273 0.125 Au
0.273 0.104 0.625 Au
0.727 0.896 0.375 Au
0.896 0.727 0.875 Au
```

Principal peaks in the range 10 to 90 degrees two-theta, in order of rising 2θ:
13.8°, d 6.398, I = 36; 28.2°, d 3.165, I = 64; 33.1°, d 2.708, I = 29; 36.9°, d 2.434, I = 30; 38.6°, d 2.332, I = 76; 39.4°, d 2.287, I = 39; 40.1°, d 2.250, I = 100; 42.2°, d 2.142, I = 66; 42.3°, d 2.137, I = 45; 42.6°, d 2.124, I = 27; 45.1°, d 2.010, I = 27; 69.3°, d 1.356, I = 27

Simulated PXRD pattern of Pd4WAu for Cu Kα, 1.54184 Å, from a crystal structure in Alexandria, relaxed with PBE.
Peak positions follow from Bragg's law for the DFT cell and can differ from measured ones.

Structural model:
```
Pd4WAu
1.0
2.804 0.000 0.000
0.000 4.024 0.000
0.000 0.000 8.368
Pd W Au
4 1 1
direct
0.000 0.000 0.160 Pd
0.000 0.000 0.840 Pd
0.500 0.500 0.321 Pd
0.500 0.500 0.679 Pd
0.500 0.500 0.000 W
0.000 0.000 0.500 Au
```

Principal peaks in the range 10 to 90 degrees two-theta, in order of rising 2θ:
24.5°, d 3.627, I = 14; 39.2°, d 2.301, I = 100; 39.3°, d 2.292, I = 97; 45.0°, d 2.013, I = 38; 45.9°, d 1.978, I = 62; 66.3°, d 1.410, I = 41; 66.7°, d 1.402, I = 10; 79.2°, d 1.209, I = 25; 80.3°, d 1.196, I = 24; 80.5°, d 1.193, I = 23; 84.2°, d 1.150, I = 11; 84.5°, d 1.146, I = 11

Simulated PXRD pattern of Y3Pd7Au2 for Cu Kα, 1.54184 Å, from a crystal structure in Alexandria, relaxed with PBE.
Peak positions follow from Bragg's law for the DFT cell and can differ from measured ones.

Structural model:
```
Y3Pd7Au2
1.0
2.147 -12.871 0.000
2.147 12.871 0.000
0.000 0.000 4.264
Y Pd Au
3 7 2
direct
0.000 0.000 0.000 Y
0.157 0.843 0.000 Y
0.843 0.157 0.000 Y
0.078 0.922 0.500 Pd
0.224 0.776 0.500 Pd
0.423 0.577 0.000 Pd
0.500 0.500 0.500 Pd
0.577 0.423 0.000 Pd
0.776 0.224 0.500 Pd
0.922 0.078 0.500 Pd
0.347 0.653 0.500 Au
0.653 0.347 0.500 Au
```

Principal peaks in the range 10 to 90 degrees two-theta, in order of rising 2θ:
20.8°, d 4.264, I = 14; 22.0°, d 4.048, I = 8; 31.4°, d 2.853, I = 10; 32.0°, d 2.793, I = 8; 34.4°, d 2.608, I = 16; 38.5°, d 2.336, I = 100; 42.1°, d 2.146, I = 31; 42.4°, d 2.132, I = 22; 61.3°, d 1.513, I = 20; 74.6°, d 1.273, I = 14; 75.0°, d 1.267, I = 14; 77.1°, d 1.236, I = 16

Simulated PXRD pattern of YPd2Au for Cu Kα, 1.54184 Å, from a crystal structure in Alexandria, relaxed with PBE.
Peak positions follow from Bragg's law for the DFT cell and can differ from measured ones.

Structural model:
```
YPd2Au
1.0
4.245 0.000 0.000
0.000 4.245 0.000
0.000 0.000 4.064
Y Pd Au
1 2 1
direct
0.000 0.000 0.000 Y
0.000 0.500 0.500 Pd
0.500 0.000 0.500 Pd
0.500 0.500 0.000 Au
```

Principal peaks in the range 10 to 90 degrees two-theta, in order of rising 2θ:
20.9°, d 4.245, I = 9; 30.4°, d 2.936, I = 8; 37.2°, d 2.414, I = 100; 42.6°, d 2.122, I = 34; 44.6°, d 2.032, I = 15; 47.9°, d 1.898, I = 2; 53.3°, d 1.720, I = 3; 61.8°, d 1.501, I = 11; 63.4°, d 1.468, I = 21; 74.4°, d 1.275, I = 26; 77.3°, d 1.235, I = 12; 79.4°, d 1.207, I = 11

Simulated PXRD pattern of YPd7Au3 for Cu Kα, 1.54184 Å, from a crystal structure in Alexandria, relaxed with PBE.
Peak positions follow from Bragg's law for the DFT cell and can differ from measured ones.

Structural model:
```
YPd7Au3
1.0
5.693 0.000 0.000
-2.846 4.930 0.000
0.000 0.000 7.021
Y Pd Au
1 7 3
direct
0.000 0.000 0.000 Y
0.003 0.502 0.976 Pd
0.172 0.344 0.317 Pd
0.172 0.828 0.317 Pd
0.498 0.502 0.976 Pd
0.498 0.997 0.976 Pd
0.656 0.828 0.317 Pd
0.667 0.333 0.298 Pd
0.336 0.168 0.640 Au
0.832 0.168 0.640 Au
0.832 0.664 0.640 Au
```

Principal peaks in the range 10 to 90 degrees two-theta, in order of rising 2θ:
18.0°, d 4.930, I = 10; 22.0°, d 4.035, I = 16; 31.3°, d 2.860, I = 9; 38.5°, d 2.340, I = 33; 38.7°, d 2.326, I = 100; 44.9°, d 2.017, I = 65; 65.3°, d 1.430, I = 21; 65.6°, d 1.423, I = 21; 78.4°, d 1.220, I = 12; 78.7°, d 1.216, I = 24; 78.8°, d 1.214, I = 12; 83.0°, d 1.163, I = 11

Simulated PXRD pattern of Y2Pd8Au3 for Cu Kα, 1.54184 Å, from a crystal structure in Alexandria, relaxed with PBE.
Peak positions follow from Bragg's law for the DFT cell and can differ from measured ones.

Structural model:
```
Y2Pd8Au3
1.0
6.859 -3.528 0.000
6.859 3.528 0.000
-0.060 0.000 4.971
Y Pd Au
2 8 3
direct
0.159 0.159 0.209 Y
0.841 0.841 0.791 Y
0.054 0.054 0.721 Pd
0.128 0.530 0.329 Pd
0.311 0.311 0.812 Pd
0.470 0.872 0.671 Pd
0.530 0.128 0.329 Pd
0.689 0.689 0.188 Pd
0.872 0.470 0.671 Pd
0.946 0.946 0.279 Pd
0.308 0.692 0.000 Au
0.500 0.500 0.500 Au
0.692 0.308 0.000 Au
```

Principal peaks in the range 10 to 90 degrees two-theta, in order of rising 2θ:
12.9°, d 6.858, I = 29; 14.1°, d 6.275, I = 19; 33.9°, d 2.647, I = 100; 35.1°, d 2.557, I = 26; 38.4°, d 2.346, I = 47; 38.9°, d 2.317, I = 40; 39.4°, d 2.286, I = 48; 40.8°, d 2.212, I = 97; 43.1°, d 2.100, I = 27; 45.3°, d 2.001, I = 26; 47.2°, d 1.924, I = 19; 61.9°, d 1.500, I = 22